PmIn9Pt2: calculated X-ray powder pattern (Cu Kα), based on a PBE-relaxed structure.
Peak positions follow from Bragg's law for the DFT cell and can differ from measured ones.

Peak list (12 most intense, 2θ from 10° to 80°, most intense first)
2theta  intensity
33.6  100
37.5  83
31.4  40
28.2  38
40.5  36
40.0  25
14.3  25
38.6  23
41.2  18
45.1  16
57.3  15
65.5  15

abc: 12.751 12.751 7.118
angles: 90.00 90.00 90.00
Space group I4_1/amd (No. 141, origin choice 2)
One atom of each set of equivalent atoms:
Pm 0.000 0.250 0.375 (multiplicity 4)
In 0.000 0.250 0.875 (multiplicity 4)
In 0.120 0.072 0.665 (multiplicity 32)
Pt 0.000 0.000 0.000 (multiplicity 8)